[1]
Structure and calculated powder diffractogram of TlBSe3 (a crystal structure in Alexandria, relaxed with PBE; λ = 1.5418 Å (Cu Kα)).

Atomic structure:
```
data_TlBSe3
_chemical_formula_sum 'Tl4 B4 Se12'
_cell_length_a 7.504
_cell_length_b 12.476
_cell_length_c 6.241
_cell_angle_alpha 90.00
_cell_angle_beta 116.08
_cell_angle_gamma 90.00
_symmetry_space_group_name_H-M 'C 1 c 1'
_symmetry_Int_Tables_number 9
loop_
_symmetry_equiv_pos_as_xyz
'x,y,z'
'x,-y,z+1/2'
'x+1/2,y+1/2,z'
'x+1/2,-y+1/2,z+1/2'
loop_
_atom_site_label
_atom_site_type_symbol
_atom_site_fract_x
_atom_site_fract_y
_atom_site_fract_z
_atom_site_occupancy
Tl1 Tl 0.000 0.165 0.000 1
B1 B 0.477 0.022 0.911 1
Se1 Se 0.089 0.337 0.596 1
Se2 Se 0.233 0.435 0.964 1
Se3 Se 0.307 0.052 0.553 1
```

Largest 8 diffraction maxima, by angle, 2θ = 10–90°:
index	two_theta	I_rel
0 2 1	21.3	30
1 3 0	25.2	31
1 1 1	25.7	33
2 2 -1	28.1	100
2 2 0	30.1	33
0 0 2	31.9	42
0 4 1	32.9	79
2 2 -2	34.5	29



[2]
Structure and calculated powder diffractogram of Tl5BSe4 (a crystal structure in Alexandria, relaxed with PBE; λ = 1.5418 Å (Cu Kα)).

Atomic structure:
```
data_Tl5BSe4
_chemical_formula_sum 'Tl10 B2 Se8'
_cell_length_a 8.118
_cell_length_b 10.084
_cell_length_c 7.776
_cell_angle_alpha 90.00
_cell_angle_beta 90.00
_cell_angle_gamma 90.00
_symmetry_space_group_name_H-M 'P m m n'
_symmetry_Int_Tables_number 59
loop_
_symmetry_equiv_pos_as_xyz
'x,y,z'
'-x,-y,-z'
'-x+1/2,-y+1/2,z'
'x+1/2,y+1/2,-z'
'x+1/2,-y,-z'
'-x+1/2,y,z'
'-x,y+1/2,-z'
'x,-y+1/2,z'
loop_
_atom_site_label
_atom_site_type_symbol
_atom_site_fract_x
_atom_site_fract_y
_atom_site_fract_z
_atom_site_occupancy
Tl1 Tl 0.031 0.061 0.227 1
Tl2 Tl 0.250 0.250 0.553 1
B1 B 0.250 0.750 0.356 1
Se1 Se 0.041 0.750 0.200 1
Se2 Se 0.250 0.579 0.512 1
```

Largest 8 diffraction maxima, by angle, 2θ = 10–90°:
index	two_theta	I_rel
0 0 2	22.9	26
2 0 1	24.7	33
2 2 0	28.2	24
0 3 1	29.0	100
2 0 2	31.9	87
2 3 1	36.6	58
3 3 0	42.9	22
2 3 3	49.8	33



[3]
Structure and calculated powder diffractogram of UBSe (a crystal structure in Alexandria, relaxed with PBE; λ = 1.5418 Å (Cu Kα)).

Atomic structure:
```
data_UBSe
_chemical_formula_sum 'U4 B4 Se4'
_cell_length_a 4.402
_cell_length_b 18.617
_cell_length_c 3.366
_cell_angle_alpha 90.00
_cell_angle_beta 90.00
_cell_angle_gamma 90.00
_symmetry_space_group_name_H-M 'C m c m'
_symmetry_Int_Tables_number 63
_symmetry_space_group_name_Hall '-C 2c 2'
loop_
_atom_site_label
_atom_site_type_symbol
_atom_site_fract_x
_atom_site_fract_y
_atom_site_fract_z
_atom_site_occupancy
U1 U 0.000 0.056 0.250 1
B1 B 0.000 0.489 0.250 1
Se1 Se 0.000 0.167 0.750 1
```

Largest 8 diffraction maxima, by angle, 2θ = 10–90°:
index	two_theta	I_rel
1 1 0	20.7	100
0 4 1	32.8	46
1 3 1	36.6	32
0 6 1	39.5	19
2 0 0	41.0	15
1 5 1	41.6	50
1 9 0	48.6	18
2 4 1	53.5	24



[4]
Structure and calculated powder diffractogram of VBSe2 (a crystal structure in Alexandria, relaxed with PBE; λ = 1.5418 Å (Cu Kα)).

Atomic structure:
```
data_VBSe2
_chemical_formula_sum 'V4 B4 Se8'
_cell_length_a 5.580
_cell_length_b 5.580
_cell_length_c 9.395
_cell_angle_alpha 90.00
_cell_angle_beta 90.00
_cell_angle_gamma 90.00
_symmetry_space_group_name_H-M 'I -4 2 d'
_symmetry_Int_Tables_number 122
_symmetry_space_group_name_Hall 'I -4 2bw'
loop_
_atom_site_label
_atom_site_type_symbol
_atom_site_fract_x
_atom_site_fract_y
_atom_site_fract_z
_atom_site_occupancy
V1 V 0.000 0.000 0.000 1
B1 B 0.000 0.000 0.500 1
Se1 Se 0.188 0.250 0.625 1
```

Largest 8 diffraction maxima, by angle, 2θ = 10–90°:
index	two_theta	I_rel
1 1 2	29.6	100
1 0 3	32.8	11
2 1 1	37.3	28
2 2 0	46.0	16
2 0 4	50.8	31
3 1 2	55.6	18
1 1 6	64.0	10
3 2 3	67.5	10



[5]
Structure and calculated powder diffractogram of VBSe3 (a crystal structure in Alexandria, relaxed with PBE; λ = 1.5418 Å (Cu Kα)).

Atomic structure:
```
data_VBSe3
_chemical_formula_sum 'V6 B6 Se18'
_cell_length_a 5.9961
_cell_length_b 5.9961
_cell_length_c 19.2882
_cell_angle_alpha 90.00
_cell_angle_beta 90.00
_cell_angle_gamma 120.00
_symmetry_space_group_name_H-M 'R -3'
_symmetry_Int_Tables_number 148
_symmetry_space_group_name_Hall '-R 3'
loop_
_atom_site_label
_atom_site_type_symbol
_atom_site_fract_x
_atom_site_fract_y
_atom_site_fract_z
_atom_site_occupancy
V1 V 0.0000 0.0000 0.1666 1
B1 B 0.0000 0.0000 0.4559 1
Se1 Se 0.9998 0.3243 0.4205 1
```

Largest 8 diffraction maxima, by angle, 2θ = 10–90°:
index	two_theta	I_rel
0 0 3	13.8	19
0 0 6	27.8	21
1 1 3	33.0	100
1 1 6	41.2	34
2 -1 9	52.5	26
3 0 0	52.9	24
3 0 6	60.8	13
4 -2 3	63.8	14



[6]
Structure and calculated powder diffractogram of B2WSe6 (a crystal structure in Alexandria, relaxed with PBE; λ = 1.5418 Å (Cu Kα)).

Atomic structure:
```
data_B2WSe6
_chemical_formula_sum 'B8 W4 Se24'
_cell_length_a 11.669
_cell_length_b 10.707
_cell_length_c 6.214
_cell_angle_alpha 90.00
_cell_angle_beta 100.80
_cell_angle_gamma 90.00
_symmetry_space_group_name_H-M 'C 1 2/c 1'
_symmetry_Int_Tables_number 15
loop_
_symmetry_equiv_pos_as_xyz
'x,y,z'
'-x,-y,-z'
'-x,y,-z+1/2'
'x,-y,z+1/2'
'x+1/2,y+1/2,z'
'-x+1/2,-y+1/2,-z'
'-x+1/2,y+1/2,-z+1/2'
'x+1/2,-y+1/2,z+1/2'
loop_
_atom_site_label
_atom_site_type_symbol
_atom_site_fract_x
_atom_site_fract_y
_atom_site_fract_z
_atom_site_occupancy
B1 B 0.202 0.065 0.337 1
W1 W 0.000 0.372 0.250 1
Se1 Se 0.114 0.434 0.618 1
Se2 Se 0.135 0.072 0.621 1
Se3 Se 0.152 0.238 0.175 1
```

Largest 8 diffraction maxima, by angle, 2θ = 10–90°:
index	two_theta	I_rel
1 1 0	11.3	78
1 1 -1	17.2	52
3 1 0	24.7	30
1 3 1	30.8	52
3 3 -1	35.7	100
2 0 2	35.8	52
1 3 -3	51.0	34
5 3 1	51.9	28



[7]
Structure and calculated powder diffractogram of BW2Se (a crystal structure in Alexandria, relaxed with PBE; λ = 1.5418 Å (Cu Kα)).

Atomic structure:
```
data_BW2Se
_chemical_formula_sum 'B1 W2 Se1'
_cell_length_a 3.1633
_cell_length_b 3.1633
_cell_length_c 6.5587
_cell_angle_alpha 90.00
_cell_angle_beta 90.00
_cell_angle_gamma 120.00
_symmetry_space_group_name_H-M 'P -3 m 1'
_symmetry_Int_Tables_number 164
_symmetry_space_group_name_Hall '-P 3 2"'
loop_
_atom_site_label
_atom_site_type_symbol
_atom_site_fract_x
_atom_site_fract_y
_atom_site_fract_z
_atom_site_occupancy
B1 B 0.0000 0.0000 0.0000 1
W1 W 0.3333 0.6667 0.1801 1
Se1 Se 0.0000 0.0000 0.5000 1
```

Largest 8 diffraction maxima, by angle, 2θ = 10–90°:
index	two_theta	I_rel
0 0 1	13.5	11
1 0 1	35.5	100
0 0 3	41.3	19
0 1 2	43.0	57
1 1 0	58.3	24
1 0 4	66.5	17
0 2 1	70.2	14
1 1 3	74.0	21



[8]
Structure and calculated powder diffractogram of Y6BSe4 (a crystal structure in Alexandria, relaxed with PBE; λ = 1.5418 Å (Cu Kα)).

Atomic structure:
```
data_Y6BSe4
_chemical_formula_sum 'Y36 B6 Se24'
_cell_length_a 11.3478
_cell_length_b 11.3478
_cell_length_c 14.0209
_cell_angle_alpha 90.00
_cell_angle_beta 90.00
_cell_angle_gamma 120.00
_symmetry_space_group_name_H-M 'R -3 c'
_symmetry_Int_Tables_number 167
_symmetry_space_group_name_Hall '-R 3 2"c'
loop_
_atom_site_label
_atom_site_type_symbol
_atom_site_fract_x
_atom_site_fract_y
_atom_site_fract_z
_atom_site_occupancy
Y1 Y 0.0338 0.1925 0.3960 1
B1 B 0.0000 0.0000 0.0000 1
Se1 Se 0.0000 0.0000 0.2500 1
Se2 Se 0.0000 0.3731 0.2500 1
```

Largest 8 diffraction maxima, by angle, 2θ = 10–90°:
index	two_theta	I_rel
1 0 4	27.0	21
1 2 2	27.2	44
1 3 1	33.5	52
2 1 4	35.2	40
2 2 3	37.1	100
0 0 6	38.5	25
2 3 2	42.1	16
5 3 2	68.1	18



[9]
Structure and calculated powder diffractogram of Y6BSe5 (a crystal structure in Alexandria, relaxed with PBE; λ = 1.5418 Å (Cu Kα)).

Atomic structure:
```
data_Y6BSe5
_chemical_formula_sum 'Y12 B2 Se10'
_cell_length_a 7.052
_cell_length_b 12.149
_cell_length_c 7.022
_cell_angle_alpha 90.00
_cell_angle_beta 109.48
_cell_angle_gamma 90.00
_symmetry_space_group_name_H-M 'C 1 2/m 1'
_symmetry_Int_Tables_number 12
loop_
_symmetry_equiv_pos_as_xyz
'x,y,z'
'-x,-y,-z'
'-x,y,-z'
'x,-y,z'
'x+1/2,y+1/2,z'
'-x+1/2,-y+1/2,-z'
'-x+1/2,y+1/2,-z'
'x+1/2,-y+1/2,z'
loop_
_atom_site_label
_atom_site_type_symbol
_atom_site_fract_x
_atom_site_fract_y
_atom_site_fract_z
_atom_site_occupancy
Y1 Y 0.223 0.000 0.269 1
Y2 Y 0.227 0.151 0.728 1
B1 B 0.000 0.000 0.500 1
Se1 Se 0.000 0.174 0.000 1
Se2 Se 0.000 0.335 0.500 1
Se3 Se 0.000 0.500 0.000 1
```

Largest 8 diffraction maxima, by angle, 2θ = 10–90°:
index	two_theta	I_rel
2 0 -2	31.2	100
2 0 2	44.6	34
1 3 -3	44.7	34
0 0 4	55.5	16
2 6 2	65.0	6
3 3 3	73.8	8
3 3 -5	73.9	8
1 3 5	82.4	8



[10]
Structure and calculated powder diffractogram of Zn2BSe (a crystal structure in Alexandria, relaxed with PBE; λ = 1.5418 Å (Cu Kα)).

Atomic structure:
```
data_Zn2BSe
_chemical_formula_sum 'Zn8 B4 Se4'
_cell_length_a 5.665
_cell_length_b 5.665
_cell_length_c 9.244
_cell_angle_alpha 90.00
_cell_angle_beta 90.00
_cell_angle_gamma 90.00
_symmetry_space_group_name_H-M 'I -4 2 d'
_symmetry_Int_Tables_number 122
_symmetry_space_group_name_Hall 'I -4 2bw'
loop_
_atom_site_label
_atom_site_type_symbol
_atom_site_fract_x
_atom_site_fract_y
_atom_site_fract_z
_atom_site_occupancy
Zn1 Zn 0.199 0.250 0.125 1
B1 B 0.000 0.000 0.000 1
Se1 Se 0.000 0.000 0.500 1
```

Largest 8 diffraction maxima, by angle, 2θ = 10–90°:
index	two_theta	I_rel
1 1 2	29.5	100
1 0 3	33.1	15
2 1 1	36.8	30
2 2 0	45.3	23
3 0 1	49.2	11
2 0 4	51.0	38
3 1 2	55.0	25
4 2 4	87.9	10



[11]
Structure and calculated powder diffractogram of Si2B (a crystal structure in Alexandria, relaxed with PBE; λ = 1.5418 Å (Cu Kα)).

Atomic structure:
```
data_Si2B
_chemical_formula_sum 'Si4 B2'
_cell_length_a 3.408
_cell_length_b 4.992
_cell_length_c 6.041
_cell_angle_alpha 113.81
_cell_angle_beta 106.27
_cell_angle_gamma 90.12
_symmetry_space_group_name_H-M 'P 1'
_symmetry_Int_Tables_number 1
loop_
_symmetry_equiv_pos_as_xyz
'x,y,z'
loop_
_atom_site_label
_atom_site_type_symbol
_atom_site_fract_x
_atom_site_fract_y
_atom_site_fract_z
_atom_site_occupancy
Si1 Si 0.000 0.000 0.000 1
Si2 Si 0.185 0.448 0.372 1
Si3 Si 0.375 0.375 0.751 1
Si4 Si 0.686 0.787 0.374 1
B1 B 0.515 0.796 0.030 1
B2 B 0.855 0.140 0.712 1
```

Largest 8 diffraction maxima, by angle, 2θ = 10–90°:
index	two_theta	I_rel
0 1 1	31.0	41
0 1 -2	31.3	42
1 1 -1	31.8	100
1 -1 1	36.3	12
0 0 3	52.2	44
1 -2 2	52.5	14
1 2 -3	52.7	14
2 0 -1	53.8	18



[12]
Structure and calculated powder diffractogram of Si2B (a crystal structure in Alexandria, relaxed with PBE; λ = 1.5418 Å (Cu Kα)).

Atomic structure:
```
data_Si2B
_chemical_formula_sum 'Si8 B4'
_cell_length_a 3.178
_cell_length_b 12.893
_cell_length_c 4.257
_cell_angle_alpha 90.00
_cell_angle_beta 90.00
_cell_angle_gamma 90.00
_symmetry_space_group_name_H-M 'I m m 2'
_symmetry_Int_Tables_number 44
loop_
_symmetry_equiv_pos_as_xyz
'x,y,z'
'-x,-y,z'
'-x,y,z'
'x,-y,z'
'x+1/2,y+1/2,z+1/2'
'-x+1/2,-y+1/2,z+1/2'
'-x+1/2,y+1/2,z+1/2'
'x+1/2,-y+1/2,z+1/2'
loop_
_atom_site_label
_atom_site_type_symbol
_atom_site_fract_x
_atom_site_fract_y
_atom_site_fract_z
_atom_site_occupancy
Si1 Si 0.000 0.092 0.000 1
Si2 Si 0.000 0.185 0.479 1
B1 B 0.000 0.334 0.287 1
```

Largest 8 diffraction maxima, by angle, 2θ = 10–90°:
index	two_theta	I_rel
0 2 0	13.7	58
0 1 1	22.0	43
1 1 0	28.9	98
1 2 1	38.0	98
0 5 1	40.9	100
0 0 2	42.5	42
1 1 2	52.2	51
1 6 1	56.0	75



[13]
Structure and calculated powder diffractogram of Si2B (a crystal structure in Alexandria, relaxed with PBE; λ = 1.5418 Å (Cu Kα)).

Atomic structure:
```
data_Si2B
_chemical_formula_sum 'Si4 B2'
_cell_length_a 3.548
_cell_length_b 4.578
_cell_length_c 5.391
_cell_angle_alpha 103.36
_cell_angle_beta 95.66
_cell_angle_gamma 98.28
_symmetry_space_group_name_H-M 'P 1'
_symmetry_Int_Tables_number 1
loop_
_symmetry_equiv_pos_as_xyz
'x,y,z'
loop_
_atom_site_label
_atom_site_type_symbol
_atom_site_fract_x
_atom_site_fract_y
_atom_site_fract_z
_atom_site_occupancy
Si1 Si 0.000 0.000 0.000 1
Si2 Si 0.031 0.396 0.380 1
Si3 Si 0.416 0.649 0.987 1
Si4 Si 0.625 0.013 0.607 1
B1 B 0.199 0.244 0.719 1
B2 B 0.567 0.616 0.352 1
```

Largest 8 diffraction maxima, by angle, 2θ = 10–90°:
index	two_theta	I_rel
0 1 1	29.7	71
1 -1 0	29.9	70
1 -1 1	33.8	29
0 0 2	34.5	27
0 1 -2	35.5	85
1 1 -1	35.6	100
-1 2 1	50.9	31
1 -2 2	53.1	44



[14]
Structure and calculated powder diffractogram of SiB (a crystal structure in Alexandria, relaxed with PBE; λ = 1.5418 Å (Cu Kα)).

Atomic structure:
```
data_SiB
_chemical_formula_sum 'Si2 B2'
_cell_length_a 2.661
_cell_length_b 3.396
_cell_length_c 5.392
_cell_angle_alpha 90.00
_cell_angle_beta 90.00
_cell_angle_gamma 90.00
_symmetry_space_group_name_H-M 'I m m 2'
_symmetry_Int_Tables_number 44
loop_
_symmetry_equiv_pos_as_xyz
'x,y,z'
'-x,-y,z'
'-x,y,z'
'x,-y,z'
'x+1/2,y+1/2,z+1/2'
'-x+1/2,-y+1/2,z+1/2'
'-x+1/2,y+1/2,z+1/2'
'x+1/2,-y+1/2,z+1/2'
loop_
_atom_site_label
_atom_site_type_symbol
_atom_site_fract_x
_atom_site_fract_y
_atom_site_fract_z
_atom_site_occupancy
Si1 Si 0.000 0.000 0.000 1
B1 B 0.000 0.500 0.799 1
```

Largest 8 diffraction maxima, by angle, 2θ = 10–90°:
index	two_theta	I_rel
0 1 1	31.1	100
0 0 2	33.2	28
1 0 1	37.7	78
1 1 0	43.2	23
0 2 0	54.0	16
1 1 2	55.6	56
0 1 3	58.1	24
1 2 1	67.7	26